Simulated X-ray powder pattern of PaPt3O8 for Cu Kα X-rays, from a crystal structure in Alexandria, relaxed with GGA-PBE.
Neutral-atom scattering factors, no anomalous dispersion.

Largest 10 diffraction maxima, in order of rising 2θ, 10 to 90 degrees two-theta:
(0 0 1), 2θ = 14.0°, d 6.318, I = 373
(1 0 0), 2θ = 21.7°, d 4.094, I = 1000
(0 2 0), 2θ = 28.0°, d 3.192, I = 617
(0 2 -1), 2θ = 28.5°, d 3.132, I = 310
(0 1 -2), 2θ = 28.7°, d 3.109, I = 297
(1 -1 1), 2θ = 29.7°, d 3.008, I = 407
(1 1 -2), 2θ = 31.8°, d 2.817, I = 291
(-1 1 2), 2θ = 34.0°, d 2.640, I = 292
(0 1 2), 2θ = 34.3°, d 2.617, I = 296
(2 0 -1), 2θ = 41.8°, d 2.163, I = 348

Structure:
abc: 4.3501 6.5706 6.7729
angles: 99.99 107.23 95.92
Space group P1 (No. 1)
One atom of each set of equivalent atoms:
1 Pa 0.0000 0.0000 0.0000
2 Pt 0.6272 0.4888 0.1766
3 Pt 0.6694 0.0166 0.3765
4 Pt 0.8763 0.3948 0.7699
5 O 0.1480 0.0111 0.3357
6 O 0.4106 0.4126 0.8671
7 O 0.5218 0.9745 0.0518
8 O 0.5733 0.7120 0.3716
9 O 0.7808 0.3439 0.4450
10 O 0.8170 0.0756 0.6898
11 O 0.9220 0.6998 0.8524
12 O 0.9662 0.3624 0.0755

---

Simulated X-ray powder pattern of Cd3In3Hg5 for Cu Kα X-rays, from a crystal structure in Alexandria, relaxed with GGA-PBE.
Neutral-atom scattering factors, no anomalous dispersion.

Largest 10 diffraction maxima, in order of rising 2θ, 10 to 90 degrees two-theta:
(2 1 0), 2θ = 25.8°, d 3.449, I = 511
(0 0 1), 2θ = 28.6°, d 3.117, I = 342
(3 0 0), 2θ = 29.4°, d 3.041, I = 799
(1 0 1), 2θ = 30.3°, d 2.950, I = 355
(2 2 0), 2θ = 34.0°, d 2.634, I = 278
(3 1 0), 2θ = 35.5°, d 2.531, I = 528
(2 1 1), 2θ = 38.9°, d 2.312, I = 576
(3 0 1), 2θ = 41.5°, d 2.177, I = 1000
(4 1 1), 2θ = 54.7°, d 1.678, I = 264
(5 1 1), 2θ = 64.2°, d 1.451, I = 243

Structure:
abc: 10.5360 10.5360 3.1169
angles: 90.00 90.00 120.00
Space group P-62m (No. 189)
One atom of each set of equivalent atoms:
1 Cd 0.0000 0.1677 0.0000
2 In 0.0000 0.4215 0.5000
3 Hg 0.0000 0.6971 0.5000
4 Hg 0.3333 0.6667 0.5000

---

Simulated X-ray powder pattern of Cd2B7Rh12 for Cu Kα X-rays, from a crystal structure in Alexandria, relaxed with GGA-PBE.
Neutral-atom scattering factors, no anomalous dispersion.

Largest 10 diffraction maxima, in order of rising 2θ, 10 to 90 degrees two-theta:
(1 1 1), 2θ = 33.9°, d 2.645, I = 229
(2 0 1), 2θ = 35.5°, d 2.529, I = 612
(2 2 0), 2θ = 36.1°, d 2.489, I = 376
(3 1 0), 2θ = 37.6°, d 2.392, I = 924
(2 1 1), 2θ = 40.0°, d 2.255, I = 1000
(3 2 0), 2θ = 45.9°, d 1.978, I = 177
(1 3 1), 2θ = 47.9°, d 1.899, I = 143
(0 0 2), 2θ = 59.2°, d 1.561, I = 175
(5 1 1), 2θ = 67.5°, d 1.388, I = 199
(3 1 2), 2θ = 72.3°, d 1.307, I = 261

Structure:
abc: 9.9579 9.9579 3.1226
angles: 90.00 90.00 120.00
Space group P-6 (No. 174)
One atom of each set of equivalent atoms:
1 Cd 0.0000 0.0000 0.0000
2 Cd 0.3333 0.6667 0.5000
3 B 0.3438 0.3403 0.0000
4 B 0.3582 0.0106 0.5000
5 B 0.6667 0.3333 0.0000
6 Rh 0.0839 0.5069 0.0000
7 Rh 0.1198 0.8061 0.5000
8 Rh 0.3096 0.1165 0.0000
9 Rh 0.5278 0.3691 0.5000

---

Simulated X-ray powder pattern of Ac2Zn3Ga4 for Cu Kα X-rays, from a crystal structure in Alexandria, relaxed with GGA-PBE.
Neutral-atom scattering factors, no anomalous dispersion.

Largest 10 diffraction maxima, in order of rising 2θ, 10 to 90 degrees two-theta:
(1 1 2), 2θ = 26.9°, d 3.311, I = 399
(1 3 2), 2θ = 31.3°, d 2.861, I = 641
(1 5 1), 2θ = 33.5°, d 2.677, I = 1000
(2 2 1), 2θ = 33.6°, d 2.668, I = 562
(0 2 3), 2θ = 34.8°, d 2.581, I = 554
(0 6 1), 2θ = 35.3°, d 2.542, I = 328
(2 0 2), 2θ = 37.0°, d 2.427, I = 605
(2 4 0), 2θ = 37.3°, d 2.410, I = 326
(3 5 1), 2θ = 55.0°, d 1.668, I = 317
(2 6 3), 2θ = 57.1°, d 1.613, I = 294

Structure:
abc: 6.0301 16.0505 8.1764
angles: 90.00 90.00 90.00
Space group Cmce (No. 64)
One atom of each set of equivalent atoms:
1 Ac 0.0000 0.1121 0.0951
2 Zn 0.0000 0.0000 0.5000
3 Zn 0.2500 0.2204 0.7500
4 Ga 0.0000 0.1789 0.4939
5 Ga 0.2500 0.0589 0.7500